Entry 1:
The following is a calculated powder X-ray diffraction pattern of Nb2AgAuO4. It was derived from a crystal structure in OQMD, relaxed with GGA-PBE, using a wavelength of 1.5418 Å.
Intensities are scaled so that the largest is 100.

Peak list (10 most intense, 10° ≤ 2θ ≤ 90°, by angle)
26.0 deg, d 3.433, rel. 61.6, (0 0 4); 34.9 deg, d 2.571, rel. 33.1, (1 0 0); 35.5 deg, d 2.527, rel. 27.5, (1 0 1); 37.3 deg, d 2.408, rel. 100.0, (1 0 2); 40.2 deg, d 2.242, rel. 19.7, (0 1 3); 53.6 deg, d 1.710, rel. 50.7, (1 0 6); 62.6 deg, d 1.485, rel. 22.9, (1 1 0); 68.9 deg, d 1.363, rel. 24.4, (1 1 4); 75.2 deg, d 1.264, rel. 13.2, (0 2 2); 86.7 deg, d 1.123, rel. 17.6, (1 1 8)

Crystal structure
```
data_Nb2AgAuO4
_chemical_formula_sum 'Nb2 Ag1 Au1 O4'
_cell_length_a 2.9691
_cell_length_b 2.9691
_cell_length_c 13.7332
_cell_angle_alpha 90.00
_cell_angle_beta 90.00
_cell_angle_gamma 120.00
_symmetry_space_group_name_H-M 'P -3 m 1'
_symmetry_Int_Tables_number 164
_symmetry_space_group_name_Hall '-P 3 2"'
loop_
_atom_site_label
_atom_site_type_symbol
_atom_site_fract_x
_atom_site_fract_y
_atom_site_fract_z
Nb1 Nb 0.3333 0.6667 0.2508
Ag1 Ag 0.0000 0.0000 0.0000
Au1 Au 0.0000 0.0000 0.5000
O1 O 0.0000 0.0000 0.1582
O2 O 0.0000 0.0000 0.3435
```


Entry 2:
The following is a calculated powder X-ray diffraction pattern of ZnCdRe3. It was derived from a crystal structure in OQMD, relaxed with GGA-PBE, using a wavelength of 1.5418 Å.
Intensities are scaled so that the largest is 100.

Peak list (10 most intense, 10° ≤ 2θ ≤ 90°, by angle)
17.6 deg, d 5.028, rel. 100.0, (0 0 2); 22.1 deg, d 4.016, rel. 28.0, (1 0 1); 35.7 deg, d 2.514, rel. 13.8, (0 0 4); 39.9 deg, d 2.259, rel. 16.4, (1 1 2); 41.2 deg, d 2.190, rel. 61.0, (2 0 0); 41.4 deg, d 2.180, rel. 25.5, (1 0 4); 44.9 deg, d 2.019, rel. 15.5, (1 1 3); 45.2 deg, d 2.008, rel. 91.2, (2 0 2); 75.1 deg, d 1.264, rel. 14.2, (2 2 0); 79.9 deg, d 1.201, rel. 17.5, (2 0 7)

Crystal structure
```
data_ZnCdRe3
_chemical_formula_sum 'Zn2 Cd2 Re6'
_cell_length_a 5.0576
_cell_length_b 5.0576
_cell_length_c 10.0556
_cell_angle_alpha 90.00
_cell_angle_beta 90.00
_cell_angle_gamma 120.00
_symmetry_space_group_name_H-M 'P 6/m m m'
_symmetry_Int_Tables_number 191
_symmetry_space_group_name_Hall '-P 6 2'
loop_
_atom_site_label
_atom_site_type_symbol
_atom_site_fract_x
_atom_site_fract_y
_atom_site_fract_z
Zn1 Zn 0.3333 0.6667 0.0000
Cd1 Cd 0.0000 0.0000 0.3562
Re1 Re 0.0000 0.5000 0.2264
```


Entry 3:
The following is a calculated powder X-ray diffraction pattern of Sm3Co4Ge13. It was derived from a crystal structure in OQMD, relaxed with GGA-PBE, using a wavelength of 1.5418 Å.
Intensities are scaled so that the largest is 100.

Peak list (10 most intense, 10° ≤ 2θ ≤ 90°, by angle)
22.5 deg, d 3.955, rel. 12.0, (2 1 0); 36.6 deg, d 2.453, rel. 100.0, (3 2 0); 38.1 deg, d 2.364, rel. 37.4, (3 2 1); 40.8 deg, d 2.211, rel. 25.0, (4 0 0); 42.1 deg, d 2.145, rel. 9.8, (4 1 0); 50.6 deg, d 1.805, rel. 10.2, (4 2 2); 56.0 deg, d 1.642, rel. 9.2, (4 3 2); 61.1 deg, d 1.517, rel. 12.1, (4 3 3); 65.0 deg, d 1.435, rel. 14.8, (5 3 2); 70.6 deg, d 1.333, rel. 13.5, (6 2 2)

Crystal structure
```
data_Sm3Co4Ge13
_chemical_formula_sum 'Sm6 Co8 Ge26'
_cell_length_a 8.8441
_cell_length_b 8.8441
_cell_length_c 8.8441
_cell_angle_alpha 90.00
_cell_angle_beta 90.00
_cell_angle_gamma 90.00
_symmetry_space_group_name_H-M 'P m -3 n'
_symmetry_Int_Tables_number 223
_symmetry_space_group_name_Hall '-P 4n 2 3'
loop_
_atom_site_label
_atom_site_type_symbol
_atom_site_fract_x
_atom_site_fract_y
_atom_site_fract_z
Sm1 Sm 0.0000 0.2500 0.5000
Co1 Co 0.2500 0.2500 0.2500
Ge1 Ge 0.0000 0.0000 0.0000
Ge2 Ge 0.0000 0.3011 0.1527
```


Entry 4:
The following is a calculated powder X-ray diffraction pattern of SnPd7. It was derived from a crystal structure in OQMD, relaxed with GGA-PBE, using a wavelength of 1.5418 Å.
Intensities are scaled so that the largest is 100.

Peak list (10 most intense, 10° ≤ 2θ ≤ 90°, by angle)
38.5 deg, d 2.336, rel. 42.6, (0 1 12); 39.4 deg, d 2.285, rel. 100.0, (1 1 0); 40.7 deg, d 2.216, rel. 55.1, (0 1 13); 44.7 deg, d 2.026, rel. 27.8, (1 0 12); 46.5 deg, d 1.953, rel. 30.7, (0 2 0); 46.7 deg, d 1.946, rel. 35.8, (1 0 13); 66.5 deg, d 1.406, rel. 17.2, (1 2 12); 68.0 deg, d 1.379, rel. 22.8, (1 2 13); 80.5 deg, d 1.193, rel. 15.6, (1 1 25); 80.8 deg, d 1.189, rel. 18.8, (2 1 13)

Crystal structure
```
data_SnPd7
_chemical_formula_sum 'Sn2 Pd14'
_cell_length_a 2.8191
_cell_length_b 3.9079
_cell_length_c 34.9750
_cell_angle_alpha 90.00
_cell_angle_beta 90.00
_cell_angle_gamma 90.00
_symmetry_space_group_name_H-M 'P m m n'
_symmetry_Int_Tables_number 59
loop_
_symmetry_equiv_pos_as_xyz
'x,y,z'
'-x,-y,-z'
'-x+1/2,-y+1/2,z'
'x+1/2,y+1/2,-z'
'x+1/2,-y,-z'
'-x+1/2,y,z'
'-x,y+1/2,-z'
'x,-y+1/2,z'
loop_
_atom_site_label
_atom_site_type_symbol
_atom_site_fract_x
_atom_site_fract_y
_atom_site_fract_z
Sn1 Sn 0.2500 0.2500 0.2020
Pd1 Pd 0.2500 0.2500 0.2829
Pd2 Pd 0.2500 0.2500 0.3624
Pd3 Pd 0.2500 0.2500 0.4413
Pd4 Pd 0.2500 0.2500 0.5196
Pd5 Pd 0.2500 0.2500 0.5982
Pd6 Pd 0.2500 0.2500 0.6774
Pd7 Pd 0.2500 0.2500 0.7582
```


Entry 5:
The following is a calculated powder X-ray diffraction pattern of Tb2P2OsPdO2. It was derived from a crystal structure in OQMD, relaxed with GGA-PBE, using a wavelength of 1.5418 Å.
Intensities are scaled so that the largest is 100.

Peak list (10 most intense, 10° ≤ 2θ ≤ 90°, by angle)
22.0 deg, d 4.035, rel. 26.5, (0 0 2); 25.0 deg, d 3.562, rel. 43.7, (1 0 1); 31.6 deg, d 2.830, rel. 88.2, (1 0 2); 33.3 deg, d 2.690, rel. 28.8, (0 0 3); 33.8 deg, d 2.651, rel. 100.0, (1 1 1); 39.1 deg, d 2.304, rel. 54.8, (1 1 2); 45.7 deg, d 1.985, rel. 55.3, (2 0 0); 56.1 deg, d 1.638, rel. 53.7, (1 1 4); 56.6 deg, d 1.625, rel. 33.3, (2 1 2); 57.7 deg, d 1.597, rel. 25.1, (2 0 3)

Crystal structure
```
data_Tb2P2OsPdO2
_chemical_formula_sum 'Tb2 P2 Os1 Pd1 O2'
_cell_length_a 3.9701
_cell_length_b 3.9701
_cell_length_c 8.0709
_cell_angle_alpha 90.00
_cell_angle_beta 90.00
_cell_angle_gamma 90.00
_symmetry_space_group_name_H-M 'P -4 m 2'
_symmetry_Int_Tables_number 115
loop_
_symmetry_equiv_pos_as_xyz
'x,y,z'
'y,-x,-z'
'-x,-y,z'
'-y,x,-z'
'-x,y,z'
'-y,-x,-z'
'x,-y,z'
'y,x,-z'
loop_
_atom_site_label
_atom_site_type_symbol
_atom_site_fract_x
_atom_site_fract_y
_atom_site_fract_z
Tb1 Tb 0.0000 0.5000 0.1350
P1 P 0.0000 0.5000 0.6633
Os1 Os 0.5000 0.5000 0.5000
Pd1 Pd 0.0000 0.0000 0.5000
O1 O 0.0000 0.0000 0.0000
O2 O 0.5000 0.5000 0.0000
```


Entry 6:
The following is a calculated powder X-ray diffraction pattern of Sr2Gd4Tm3. It was derived from a crystal structure in OQMD, relaxed with GGA-PBE, using a wavelength of 1.5418 Å.
Intensities are scaled so that the largest is 100.

Peak list (10 most intense, 10° ≤ 2θ ≤ 90°, by angle)
10.2 deg, d 8.710, rel. 19.6, (1 0 0); 30.5 deg, d 2.931, rel. 98.6, (1 1 1); 30.8 deg, d 2.903, rel. 100.0, (3 0 0); 32.2 deg, d 2.778, rel. 18.9, (2 0 1); 37.0 deg, d 2.432, rel. 18.0, (1 2 1); 43.9 deg, d 2.063, rel. 28.3, (2 2 1); 52.3 deg, d 1.748, rel. 17.5, (3 2 1); 54.6 deg, d 1.681, rel. 22.2, (1 4 1); 54.8 deg, d 1.676, rel. 13.4, (3 3 0); 60.4 deg, d 1.532, rel. 29.4, (3 0 2)

Crystal structure
```
data_Sr2Gd4Tm3
_chemical_formula_sum 'Sr2 Gd4 Tm3'
_cell_length_a 10.0570
_cell_length_b 10.0570
_cell_length_c 3.6070
_cell_angle_alpha 90.00
_cell_angle_beta 90.00
_cell_angle_gamma 120.00
_symmetry_space_group_name_H-M 'P -6'
_symmetry_Int_Tables_number 174
loop_
_symmetry_equiv_pos_as_xyz
'x,y,z'
'-x+y,-x,-z'
'-y,x-y,z'
'x,y,-z'
'-x+y,-x,z'
'-y,x-y,-z'
loop_
_atom_site_label
_atom_site_type_symbol
_atom_site_fract_x
_atom_site_fract_y
_atom_site_fract_z
Sr1 Sr 0.0000 0.0000 0.0000
Sr2 Sr 0.3333 0.6667 0.5000
Gd1 Gd 0.3314 0.0237 0.5000
Gd2 Gd 0.6667 0.3333 0.5000
Tm1 Tm 0.3778 0.3549 0.0000
```


Entry 7:
The following is a calculated powder X-ray diffraction pattern of Li9Cd13. It was derived from a crystal structure in OQMD, relaxed with GGA-PBE, using a wavelength of 1.5418 Å.
Intensities are scaled so that the largest is 100.

Peak list (10 most intense, 10° ≤ 2θ ≤ 90°, by angle)
19.1 deg, d 4.637, rel. 15.9, (1 0 1); 19.4 deg, d 4.576, rel. 23.5, (1 1 0); 22.4 deg, d 3.963, rel. 31.5, (2 0 0); 27.4 deg, d 3.257, rel. 61.5, (2 0 1); 33.8 deg, d 2.654, rel. 17.1, (2 1 1); 38.8 deg, d 2.319, rel. 100.0, (0 2 2); 39.4 deg, d 2.288, rel. 79.1, (2 2 0); 56.5 deg, d 1.629, rel. 30.8, (4 0 2); 71.0 deg, d 1.327, rel. 29.1, (2 4 2); 79.0 deg, d 1.212, rel. 17.3, (2 2 4)

Crystal structure
```
data_Li9Cd13
_chemical_formula_sum 'Li9 Cd13'
_cell_length_a 9.1522
_cell_length_b 9.1522
_cell_length_c 5.7179
_cell_angle_alpha 90.00
_cell_angle_beta 90.00
_cell_angle_gamma 120.00
_symmetry_space_group_name_H-M 'P -3 m 1'
_symmetry_Int_Tables_number 164
_symmetry_space_group_name_Hall '-P 3 2"'
loop_
_atom_site_label
_atom_site_type_symbol
_atom_site_fract_x
_atom_site_fract_y
_atom_site_fract_z
Li1 Li 0.0000 0.0000 0.0000
Li2 Li 0.1952 0.3903 0.7380
Li3 Li 0.3333 0.6667 0.2592
Cd1 Cd 0.0000 0.0000 0.5000
Cd2 Cd 0.0000 0.5000 0.0000
Cd3 Cd 0.0000 0.5000 0.5000
Cd4 Cd 0.1565 0.3130 0.2308
```


Entry 8:
The following is a calculated powder X-ray diffraction pattern of TmPIrO. It was derived from a crystal structure in OQMD, relaxed with GGA-PBE, using a wavelength of 1.5418 Å.
Intensities are scaled so that the largest is 100.

Peak list (10 most intense, 10° ≤ 2θ ≤ 90°, by angle)
11.2 deg, d 7.875, rel. 19.8, (0 0 1); 22.6 deg, d 3.937, rel. 23.5, (0 0 2); 25.3 deg, d 3.517, rel. 21.7, (1 0 1); 32.2 deg, d 2.782, rel. 48.1, (1 0 2); 34.2 deg, d 2.622, rel. 100.0, (0 0 3); 39.7 deg, d 2.271, rel. 40.6, (1 1 2); 46.2 deg, d 1.965, rel. 38.3, (2 0 0); 57.4 deg, d 1.606, rel. 54.8, (1 1 4); 58.7 deg, d 1.573, rel. 23.2, (2 0 3); 77.8 deg, d 1.228, rel. 32.6, (2 2 3)

Crystal structure
```
data_TmPIrO
_chemical_formula_sum 'Tm2 P2 Ir2 O2'
_cell_length_a 3.9303
_cell_length_b 3.9303
_cell_length_c 7.8746
_cell_angle_alpha 90.00
_cell_angle_beta 90.00
_cell_angle_gamma 90.00
_symmetry_space_group_name_H-M 'P 4/n m m'
_symmetry_Int_Tables_number 129
loop_
_symmetry_equiv_pos_as_xyz
'x,y,z'
'-x,-y,-z'
'-y+1/2,x,z'
'y+1/2,-x,-z'
'-x+1/2,-y+1/2,z'
'x+1/2,y+1/2,-z'
'y,-x+1/2,z'
'-y,x+1/2,-z'
'x+1/2,-y,-z'
'-x+1/2,y,z'
'-y,-x,-z'
'y,x,z'
'-x,y+1/2,-z'
'x,-y+1/2,z'
'y+1/2,x+1/2,-z'
'-y+1/2,-x+1/2,z'
loop_
_atom_site_label
_atom_site_type_symbol
_atom_site_fract_x
_atom_site_fract_y
_atom_site_fract_z
Tm1 Tm 0.2500 0.2500 0.1325
P1 P 0.2500 0.2500 0.6682
Ir1 Ir 0.2500 0.7500 0.5000
O1 O 0.2500 0.7500 0.0000
```


Entry 9:
The following is a calculated powder X-ray diffraction pattern of Dy3Mg3AgAu2. It was derived from a crystal structure in OQMD, relaxed with GGA-PBE, using a wavelength of 1.5418 Å.
Intensities are scaled so that the largest is 100.

Peak list (10 most intense, 10° ≤ 2θ ≤ 90°, by angle)
13.3 deg, d 6.633, rel. 32.9, (1 0 0); 23.2 deg, d 3.830, rel. 46.0, (1 1 0); 32.1 deg, d 2.789, rel. 95.2, (1 1 1); 34.9 deg, d 2.571, rel. 100.0, (2 0 1); 35.8 deg, d 2.507, rel. 22.1, (2 1 0); 40.8 deg, d 2.211, rel. 36.2, (3 0 0); 42.3 deg, d 2.135, rel. 28.6, (2 1 1); 44.5 deg, d 2.036, rel. 22.3, (0 0 2); 65.5 deg, d 1.425, rel. 23.5, (3 2 1); 68.8 deg, d 1.364, rel. 26.3, (3 1 2)

Crystal structure
```
data_Dy3Mg3AgAu2
_chemical_formula_sum 'Dy3 Mg3 Ag1 Au2'
_cell_length_a 7.6594
_cell_length_b 7.6594
_cell_length_c 4.0711
_cell_angle_alpha 90.00
_cell_angle_beta 90.00
_cell_angle_gamma 120.00
_symmetry_space_group_name_H-M 'P -6 2 m'
_symmetry_Int_Tables_number 189
_symmetry_space_group_name_Hall 'P -6 -2'
loop_
_atom_site_label
_atom_site_type_symbol
_atom_site_fract_x
_atom_site_fract_y
_atom_site_fract_z
Dy1 Dy 0.0000 0.4167 0.0000
Mg1 Mg 0.0000 0.7522 0.5000
Ag1 Ag 0.0000 0.0000 0.0000
Au1 Au 0.3333 0.6667 0.5000
```


Entry 10:
The following is a calculated powder X-ray diffraction pattern of Ba2CdBiN. It was derived from a crystal structure in OQMD, relaxed with GGA-PBE, using a wavelength of 1.5418 Å.
Intensities are scaled so that the largest is 100.

Peak list (10 most intense, 10° ≤ 2θ ≤ 90°, by angle)
27.8 deg, d 3.206, rel. 100.0, (1 3 1); 30.2 deg, d 2.955, rel. 65.1, (1 1 2); 30.9 deg, d 2.894, rel. 38.0, (0 4 2); 32.3 deg, d 2.772, rel. 21.1, (0 6 0); 33.5 deg, d 2.675, rel. 35.8, (1 5 0); 35.1 deg, d 2.557, rel. 21.6, (0 2 3); 39.4 deg, d 2.285, rel. 24.4, (1 1 3); 39.9 deg, d 2.257, rel. 19.1, (0 4 3); 40.1 deg, d 2.250, rel. 26.2, (2 0 0); 55.5 deg, d 1.655, rel. 25.6, (1 7 3)

Crystal structure
```
data_Ba2CdBiN
_chemical_formula_sum 'Ba8 Cd4 Bi4 N4'
_cell_length_a 4.5006
_cell_length_b 16.6312
_cell_length_c 8.0610
_cell_angle_alpha 90.00
_cell_angle_beta 90.00
_cell_angle_gamma 90.00
_symmetry_space_group_name_H-M 'C m c 21'
_symmetry_Int_Tables_number 36
loop_
_symmetry_equiv_pos_as_xyz
'x,y,z'
'-x,-y,z+1/2'
'-x,y,z'
'x,-y,z+1/2'
'x+1/2,y+1/2,z'
'-x+1/2,-y+1/2,z+1/2'
'-x+1/2,y+1/2,z'
'x+1/2,-y+1/2,z+1/2'
loop_
_atom_site_label
_atom_site_type_symbol
_atom_site_fract_x
_atom_site_fract_y
_atom_site_fract_z
Ba1 Ba 0.0000 0.0439 0.0000
Ba2 Ba 0.0000 0.2391 0.5178
Cd1 Cd 0.0000 0.3966 0.8081
Bi1 Bi 0.0000 0.4091 0.1857
N1 N 0.0000 0.1618 0.2163
```


Entry 11:
The following is a calculated powder X-ray diffraction pattern of Ni17As. It was derived from a crystal structure in OQMD, relaxed with GGA-PBE, using a wavelength of 1.5418 Å.
Intensities are scaled so that the largest is 100.

Peak list (10 most intense, 10° ≤ 2θ ≤ 90°, by angle)
11.4 deg, d 7.772, rel. 31.9, (0 0 4); 43.7 deg, d 2.073, rel. 49.4, (0 0 15); 44.9 deg, d 2.020, rel. 100.0, (1 2 5); 45.0 deg, d 2.015, rel. 49.7, (2 0 -5); 46.0 deg, d 1.975, rel. 35.7, (1 2 6); 46.8 deg, d 1.943, rel. 24.2, (0 0 16); 51.9 deg, d 1.762, rel. 61.2, (1 2 -10); 52.1 deg, d 1.755, rel. 30.2, (2 0 10); 53.8 deg, d 1.705, rel. 26.4, (1 2 -11); 75.7 deg, d 1.256, rel. 23.8, (1 2 20)

Crystal structure
```
data_Ni17As
_chemical_formula_sum 'Ni34 As2'
_cell_length_a 4.2579
_cell_length_b 4.9402
_cell_length_c 31.0878
_cell_angle_alpha 90.00
_cell_angle_beta 90.12
_cell_angle_gamma 90.00
_symmetry_space_group_name_H-M 'P 1 21/m 1'
_symmetry_Int_Tables_number 11
loop_
_symmetry_equiv_pos_as_xyz
'x,y,z'
'-x,-y,-z'
'-x,y+1/2,-z'
'x,-y+1/2,z'
loop_
_atom_site_label
_atom_site_type_symbol
_atom_site_fract_x
_atom_site_fract_y
_atom_site_fract_z
Ni1 Ni 0.0000 0.0000 0.0000
Ni2 Ni 0.9998 0.9999 0.1959
Ni3 Ni 0.1664 0.2500 0.0649
Ni4 Ni 0.1661 0.7500 0.8696
Ni5 Ni 0.1673 0.2500 0.8699
Ni6 Ni 0.1674 0.7500 0.0649
Ni7 Ni 0.1687 0.7500 0.2616
Ni8 Ni 0.3327 0.0001 0.1303
Ni9 Ni 0.3332 0.9999 0.9352
Ni10 Ni 0.3343 0.0013 0.7387
Ni11 Ni 0.4969 0.2500 0.8047
Ni12 Ni 0.4980 0.2500 0.1954
Ni13 Ni 0.5000 0.2500 0.0001
As1 As 0.1657 0.2500 0.2649
```


Entry 12:
The following is a calculated powder X-ray diffraction pattern of LiSc2Pd. It was derived from a crystal structure in OQMD, relaxed with GGA-PBE, using a wavelength of 1.5418 Å.
Intensities are scaled so that the largest is 100.

Peak list (10 most intense, 10° ≤ 2θ ≤ 90°, by angle)
23.5 deg, d 3.787, rel. 34.4, (1 1 1); 27.2 deg, d 3.280, rel. 34.2, (2 0 0); 38.8 deg, d 2.319, rel. 100.0, (2 2 0); 45.9 deg, d 1.978, rel. 17.2, (3 1 1); 48.1 deg, d 1.893, rel. 9.4, (2 2 2); 56.1 deg, d 1.640, rel. 16.2, (4 0 0); 61.6 deg, d 1.505, rel. 7.1, (3 3 1); 63.4 deg, d 1.467, rel. 12.0, (4 2 0); 70.3 deg, d 1.339, rel. 31.6, (4 2 2); 83.3 deg, d 1.160, rel. 9.8, (4 4 0)

Crystal structure
```
data_LiSc2Pd
_chemical_formula_sum 'Li4 Sc8 Pd4'
_cell_length_a 6.5592
_cell_length_b 6.5592
_cell_length_c 6.5592
_cell_angle_alpha 90.00
_cell_angle_beta 90.00
_cell_angle_gamma 90.00
_symmetry_space_group_name_H-M 'F -4 3 m'
_symmetry_Int_Tables_number 216
_symmetry_space_group_name_Hall 'F -4 2 3'
loop_
_atom_site_label
_atom_site_type_symbol
_atom_site_fract_x
_atom_site_fract_y
_atom_site_fract_z
Li1 Li 0.0000 0.0000 0.0000
Sc1 Sc 0.0000 0.0000 0.5000
Sc2 Sc 0.2500 0.2500 0.7500
Pd1 Pd 0.2500 0.2500 0.2500
```